Computed X-ray diffraction stick pattern of PaBeCo3Si for a wavelength of 1.5418 Å, from a structure optimized by DFT (PBE).
Neutral-atom scattering factors, no anomalous dispersion.

Principal peaks in the range 15° ≤ 2θ ≤ 90°, in order of falling intensity:
Position (°2θ)	Rel. int.
24.4	1000
34.8	835
38.5	606
47.0	589
37.0	546
23.6	505

Structure:
Cell lengths 6.223, 6.223, 5.161 Å; angles 90.00, 90.00, 124.17 degrees
Sites, in units of the cell vectors:
Pa1 0.203 0.797 0.750
Pa2 0.797 0.203 0.250
Be1 0.129 0.871 0.250
Be2 0.871 0.129 0.750
Co1 0.199 0.199 0.000
Co2 0.199 0.199 0.500
Co3 0.330 0.670 0.250
Co4 0.670 0.330 0.750
Co5 0.801 0.801 0.000
Co6 0.801 0.801 0.500
Si1 0.459 0.541 0.750
Si2 0.541 0.459 0.250

Computed X-ray diffraction stick pattern of Be4CoPd3 for a wavelength of 1.5418 Å, from a structure optimized by DFT (PBE).
Neutral-atom scattering factors, no anomalous dispersion.

Principal peaks in the range 15° ≤ 2θ ≤ 90°, in order of falling intensity:
Position (°2θ)	Rel. int.
32.3	1000
46.3	906
76.9	301
85.9	284
57.6	246
67.6	139

Structure:
Cell lengths 2.771, 2.771, 11.086 Å; angles 90.00, 90.00, 90.00 degrees
Sites, in units of the cell vectors:
Be1 0.000 0.000 0.103
Be2 0.000 0.000 0.368
Be3 0.000 0.000 0.632
Be4 0.000 0.000 0.897
Co1 0.500 0.500 0.000
Pd1 0.500 0.500 0.242
Pd2 0.500 0.500 0.500
Pd3 0.500 0.500 0.758

Computed X-ray diffraction stick pattern of Be3CoPt2 for a wavelength of 1.5418 Å, from a structure optimized by DFT (PBE).
Neutral-atom scattering factors, no anomalous dispersion.

Principal peaks in the range 15° ≤ 2θ ≤ 90°, in order of falling intensity:
Position (°2θ)	Rel. int.
32.3	1000
46.5	831
32.6	478
46.3	435
57.8	379
86.0	291

Structure:
Cell lengths 2.773, 2.773, 8.242 Å; angles 90.00, 90.00, 90.00 degrees
Sites, in units of the cell vectors:
Be1 0.000 0.000 0.000
Be2 0.000 0.000 0.360
Be3 0.000 0.000 0.640
Co1 0.500 0.500 0.500
Pt1 0.500 0.500 0.176
Pt2 0.500 0.500 0.824

Computed X-ray diffraction stick pattern of BeCoPt2S for a wavelength of 1.5418 Å, from a structure optimized by DFT (PBE).
Neutral-atom scattering factors, no anomalous dispersion.

Principal peaks in the range 15° ≤ 2θ ≤ 90°, in order of falling intensity:
Position (°2θ)	Rel. int.
36.0	1000
22.2	586
40.1	499
28.0	425
46.3	346
70.2	291

Structure:
Cell lengths 4.502, 4.502, 4.004 Å; angles 90.00, 90.00, 90.00 degrees
Sites, in units of the cell vectors:
Be1 0.000 0.000 0.000
Co1 0.500 0.500 0.000
Pt1 0.000 0.500 0.500
Pt2 0.500 0.000 0.500
S1 0.500 0.500 0.500

Computed X-ray diffraction stick pattern of Pu2Be4CoSi3 for a wavelength of 1.5418 Å, from a structure optimized by DFT (PBE).
Neutral-atom scattering factors, no anomalous dispersion.

Principal peaks in the range 15° ≤ 2θ ≤ 90°, in order of falling intensity:
Position (°2θ)	Rel. int.
25.0	1000
38.3	779
37.0	553
54.3	458
18.9	372
32.9	277

Structure:
Cell lengths 3.844, 3.844, 9.401 Å; angles 90.00, 90.00, 90.00 degrees
Sites, in units of the cell vectors:
Pu1 0.000 0.500 0.243
Pu2 0.500 0.000 0.757
Be1 0.000 0.000 0.500
Be2 0.000 0.500 0.876
Be3 0.500 0.000 0.124
Be4 0.500 0.500 0.500
Co1 0.500 0.500 0.000
Si1 0.000 0.000 0.000
Si2 0.000 0.500 0.636
Si3 0.500 0.000 0.364

Computed X-ray diffraction stick pattern of Be6Co5Rh for a wavelength of 1.5418 Å, from a structure optimized by DFT (PBE).
Neutral-atom scattering factors, no anomalous dispersion.

Principal peaks in the range 15° ≤ 2θ ≤ 90°, in order of falling intensity:
Position (°2θ)	Rel. int.
48.9	1000
34.1	822
34.0	418
49.1	198
61.0	140
60.9	140

Structure:
Cell lengths 6.449, 6.449, 6.449 Å; angles 146.54, 131.66, 60.06 degrees
Sites, in units of the cell vectors:
Be1 0.076 0.332 0.744
Be2 0.238 0.000 0.238
Be3 0.413 0.668 0.744
Be4 0.587 0.332 0.256
Be5 0.762 0.000 0.762
Be6 0.924 0.668 0.256
Co1 0.000 0.500 0.500
Co2 0.168 0.168 0.000
Co3 0.330 0.830 0.500
Co4 0.670 0.170 0.500
Co5 0.832 0.832 0.000
Rh1 0.500 0.500 0.000

Computed X-ray diffraction stick pattern of Be15Co2Rh2 for a wavelength of 1.5418 Å, from a structure optimized by DFT (PBE).
Neutral-atom scattering factors, no anomalous dispersion.

Principal peaks in the range 15° ≤ 2θ ≤ 90°, in order of falling intensity:
Position (°2θ)	Rel. int.
24.6	1000
50.5	329
36.1	297
43.4	278
51.2	245
44.2	213

Structure:
Cell lengths 5.521, 5.521, 5.521 Å; angles 81.80, 81.80, 81.80 degrees
Sites, in units of the cell vectors:
Be1 0.000 0.000 0.500
Be2 0.000 0.301 0.699
Be3 0.000 0.500 0.000
Be4 0.000 0.699 0.301
Be5 0.159 0.652 0.652
Be6 0.301 0.000 0.699
Be7 0.301 0.699 0.000
Be8 0.348 0.348 0.841
Be9 0.348 0.841 0.348
Be10 0.500 0.000 0.000
Be11 0.652 0.159 0.652
Be12 0.652 0.652 0.159
Be13 0.699 0.000 0.301
Be14 0.699 0.301 0.000
Be15 0.841 0.348 0.348
Co1 0.102 0.102 0.102
Co2 0.898 0.898 0.898
Rh1 0.354 0.354 0.354
Rh2 0.646 0.646 0.646

Computed X-ray diffraction stick pattern of Be2CoRh for a wavelength of 1.5418 Å, from a structure optimized by DFT (PBE).
Neutral-atom scattering factors, no anomalous dispersion.

Principal peaks in the range 15° ≤ 2θ ≤ 90°, in order of falling intensity:
Position (°2θ)	Rel. int.
33.4	1000
47.4	966
32.7	530
47.9	467
59.2	365
89.1	306

Structure:
Cell lengths 3.795, 3.795, 2.740 Å; angles 90.00, 90.00, 90.00 degrees
Sites, in units of the cell vectors:
Be1 0.000 0.500 0.000
Be2 0.500 0.000 0.000
Co1 0.000 0.000 0.500
Rh1 0.500 0.500 0.500

Computed X-ray diffraction stick pattern of Be6CoRu for a wavelength of 1.5418 Å, from a structure optimized by DFT (PBE).
Neutral-atom scattering factors, no anomalous dispersion.

Principal peaks in the range 15° ≤ 2θ ≤ 90°, in order of falling intensity:
Position (°2θ)	Rel. int.
31.4	1000
28.7	756
32.4	588
20.9	574
38.0	548
52.0	503

Structure:
Cell lengths 3.643, 4.560, 4.251 Å; angles 90.00, 90.00, 90.00 degrees
Sites, in units of the cell vectors:
Be1 0.000 0.000 0.000
Be2 0.000 0.247 0.523
Be3 0.000 0.753 0.523
Be4 0.500 0.237 0.823
Be5 0.500 0.500 0.377
Be6 0.500 0.763 0.823
Co1 0.500 0.000 0.314
Ru1 0.000 0.500 0.031

Computed X-ray diffraction stick pattern of Sc12BeCo6 for a wavelength of 1.5418 Å, from a structure optimized by DFT (PBE).
Neutral-atom scattering factors, no anomalous dispersion.

Principal peaks in the range 15° ≤ 2θ ≤ 90°, in order of falling intensity:
Position (°2θ)	Rel. int.
37.8	1000
52.4	304
34.9	267
40.5	165
43.1	150
62.6	145

Structure:
Cell lengths 7.710, 7.710, 7.710 Å; angles 109.47, 109.47, 109.47 degrees
Sites, in units of the cell vectors:
Sc1 0.097 0.292 0.805
Sc2 0.195 0.487 0.292
Sc3 0.195 0.903 0.708
Sc4 0.292 0.195 0.487
Sc5 0.292 0.805 0.097
Sc6 0.487 0.292 0.195
Sc7 0.513 0.708 0.805
Sc8 0.708 0.195 0.903
Sc9 0.708 0.805 0.513
Sc10 0.805 0.097 0.292
Sc11 0.805 0.513 0.708
Sc12 0.903 0.708 0.195
Be1 0.000 0.000 0.000
Co1 0.121 0.500 0.621
Co2 0.379 0.879 0.500
Co3 0.500 0.379 0.879
Co4 0.500 0.621 0.121
Co5 0.621 0.121 0.500
Co6 0.879 0.500 0.379

Computed X-ray diffraction stick pattern of Sc2Be12Co5 for a wavelength of 1.5418 Å, from a structure optimized by DFT (PBE).
Neutral-atom scattering factors, no anomalous dispersion.

Principal peaks in the range 15° ≤ 2θ ≤ 90°, in order of falling intensity:
Position (°2θ)	Rel. int.
15.4	1000
46.9	697
48.8	429
22.9	413
34.7	365
31.0	336

Structure:
Cell lengths 5.833, 5.833, 5.833 Å; angles 83.34, 83.34, 83.34 degrees
Sites, in units of the cell vectors:
Sc1 0.164 0.164 0.164
Sc2 0.836 0.836 0.836
Be1 0.158 0.158 0.653
Be2 0.158 0.653 0.158
Be3 0.213 0.500 0.787
Be4 0.213 0.787 0.500
Be5 0.347 0.842 0.842
Be6 0.500 0.213 0.787
Be7 0.500 0.787 0.213
Be8 0.653 0.158 0.158
Be9 0.787 0.213 0.500
Be10 0.787 0.500 0.213
Be11 0.842 0.347 0.842
Be12 0.842 0.842 0.347
Co1 0.000 0.500 0.500
Co2 0.401 0.401 0.401
Co3 0.500 0.000 0.500
Co4 0.500 0.500 0.000
Co5 0.599 0.599 0.599

Computed X-ray diffraction stick pattern of TmBe2CoSi for a wavelength of 1.5418 Å, from a structure optimized by DFT (PBE).
Neutral-atom scattering factors, no anomalous dispersion.

Principal peaks in the range 15° ≤ 2θ ≤ 90°, in order of falling intensity:
Position (°2θ)	Rel. int.
25.3	1000
38.7	794
37.4	624
62.3	278
48.0	275
55.0	245

Structure:
Cell lengths 3.791, 3.797, 9.336 Å; angles 90.00, 90.00, 90.00 degrees
Sites, in units of the cell vectors:
Tm1 0.000 0.000 0.000
Tm2 0.500 0.500 0.500
Be1 0.000 0.000 0.375
Be2 0.000 0.500 0.255
Be3 0.500 0.000 0.755
Be4 0.500 0.500 0.875
Co1 0.000 0.500 0.757
Co2 0.500 0.000 0.257
Si1 0.000 0.000 0.624
Si2 0.500 0.500 0.124

Q: What is the formula in the second record?
A: Be4CoPd3